1.
Theoretical powder XRD pattern of LiVC2O6 for Cu Kα, 1.54184 Å, from a PBE+U-relaxed structure.
Kinematic intensities with the Lorentz-polarization factor, no thermal factor.

Most intense lines, 5° ≤ 2θ ≤ 70°, by angle:
2theta  d [Å]  Rel. int.
16.34  5.426  54
22.66  3.923  60
31.19  2.868  100
33.02  2.713  12
38.58  2.334  35
42.15  2.144  16
46.28  1.962  13
50.19  1.818  20
51.66  1.769  43
65.24  1.430  15

Atomic structure:
```
data_LiVC2O6
_cell_length_a 4.6678
_cell_length_b 4.6678
_cell_length_c 16.2788
_cell_angle_alpha 90.00
_cell_angle_beta 90.00
_cell_angle_gamma 120.00
_space_group_name_H-M_alt 'R 3 2'
_space_group_IT_number 155
_space_group_name_Hall 'R 3 2"'
loop_
_atom_site_label
_atom_site_type_symbol
_atom_site_fract_x
_atom_site_fract_y
_atom_site_fract_z
Li1 Li 0.0000 0.0000 0.0000
V1 V 0.0000 0.0000 0.5000
C1 C 0.0000 0.0000 0.2446
O1 O 0.0279 0.7376 0.2458
```


2.
Theoretical powder XRD pattern of LiVC2O6 for Cu Kα, 1.54184 Å, from a PBE+U-relaxed structure.
Kinematic intensities with the Lorentz-polarization factor, no thermal factor.

Most intense lines, 5° ≤ 2θ ≤ 70°, by angle:
2theta  d [Å]  Rel. int.
18.42  4.818  75
19.34  4.590  100
22.37  3.974  71
30.69  2.913  13
31.64  2.828  54
38.02  2.367  15
39.20  2.298  24
44.77  2.024  12
49.92  1.827  11
54.65  1.680  13

Atomic structure:
```
data_LiVC2O6
_cell_length_a 6.533
_cell_length_b 7.966
_cell_length_c 9.594
_cell_angle_alpha 90.00
_cell_angle_beta 106.91
_cell_angle_gamma 90.00
_space_group_name_H-M_alt 'P 1 21 1'
_space_group_IT_number 4
loop_
_space_group_symop_operation_xyz
'x,y,z'
'-x,y+1/2,-z'
loop_
_atom_site_label
_atom_site_type_symbol
_atom_site_fract_x
_atom_site_fract_y
_atom_site_fract_z
Li1 Li 0.058 0.000 0.425
Li2 Li 0.439 0.499 0.076
V1 V 0.007 0.548 0.242
V2 V 0.492 0.048 0.258
C1 C 0.193 0.285 0.308
C2 C 0.216 0.307 0.817
C3 C 0.285 0.807 0.684
C4 C 0.306 0.785 0.194
O1 O 0.053 0.301 0.701
O2 O 0.055 0.306 0.182
O3 O 0.184 0.945 0.640
O4 O 0.221 0.637 0.152
O5 O 0.234 0.666 0.613
O6 O 0.238 0.415 0.392
O7 O 0.260 0.915 0.110
O8 O 0.266 0.165 0.887
O9 O 0.278 0.137 0.350
O10 O 0.318 0.445 0.861
O11 O 0.447 0.805 0.319
O12 O 0.449 0.800 0.799
```